Record 1
Li2TiFe2O5: calculated powder diffraction line list (Cu Kα, 1.54184 Å), based on a crystal structure in Alexandria, relaxed with GGA+U.

Top 6 peaks for 15 to 90 degrees two-theta, by angle:
4.057 Å, I = 841, hkl 0 1 1; 3.073 Å, I = 803, hkl 1 0 -2; 2.455 Å, I = 397, hkl -1 1 3; 2.190 Å, I = 1000, hkl 2 -1 0; 2.156 Å, I = 987, hkl 0 1 -4; 2.029 Å, I = 809, hkl 0 2 2

Structural model:
Cell lengths 4.381, 5.075, 9.554 Å; angles 92.31, 90.04, 115.44 degrees
Fractional positions:
Li (0.091, 0.196, 0.299)
Li (0.314, 0.605, 0.901)
Li (0.686, 0.395, 0.099)
Li (0.909, 0.804, 0.701)
Ti (0.352, 0.789, 0.194)
Ti (0.648, 0.211, 0.806)
Fe (0.000, 0.000, 0.000)
Fe (0.209, 0.416, 0.604)
Fe (0.500, 0.000, 0.500)
Fe (0.791, 0.584, 0.396)
O (0.000, 0.000, 0.500)
O (0.072, 0.203, 0.804)
O (0.220, 0.424, 0.102)
O (0.306, 0.604, 0.380)
O (0.402, 0.825, 0.708)
O (0.500, 0.000, 0.000)
O (0.598, 0.175, 0.292)
O (0.694, 0.396, 0.620)
O (0.780, 0.576, 0.898)
O (0.928, 0.797, 0.196)

Record 2
Li2TiFe2O5: calculated powder diffraction line list (Cu Kα, 1.54184 Å), based on a crystal structure in Alexandria, relaxed with GGA+U.

Top 6 peaks for 15 to 90 degrees two-theta, by angle:
4.086 Å, I = 698, hkl 1 1 0; 2.453 Å, I = 428, hkl 1 1 3; 2.129 Å, I = 967, hkl 1 -1 2; 2.124 Å, I = 943, hkl 2 2 1; 2.114 Å, I = 1000, hkl -1 1 3; 1.503 Å, I = 772, hkl 0 0 5

Structural model:
Cell lengths 5.193, 5.202, 7.945 Å; angles 71.00, 83.32, 70.39 degrees
Fractional positions:
Li (0.000, 0.000, 0.000)
Li (0.003, 0.195, 0.611)
Li (0.491, 0.703, 0.612)
Li (0.499, 0.318, 0.419)
Ti (0.490, 0.119, 0.797)
Ti (0.975, 0.818, 0.410)
Fe (0.004, 0.402, 0.213)
Fe (0.492, 0.501, 0.015)
Fe (0.498, 0.895, 0.218)
Fe (0.984, 0.596, 0.809)
O (0.226, 0.652, 0.232)
O (0.229, 0.016, 0.414)
O (0.254, 0.242, 0.999)
O (0.257, 0.433, 0.619)
O (0.273, 0.857, 0.816)
O (0.733, 0.330, 0.812)
O (0.733, 0.773, 0.005)
O (0.744, 0.956, 0.611)
O (0.754, 0.148, 0.228)
O (0.772, 0.567, 0.420)